# K2TlVSe4
Simulated powder XRD pattern, λ = 1.5418 Å (Cu Kα). Input: DFT lattice parameters and positions (GGA-PBE).

Main lines, in order of falling intensity (5 to 70 degrees two-theta):
- 15.18°, 5.836 Å, I 100
- 26.39°, 3.377 Å, I 99
- 26.56°, 3.356 Å, I 85
- 41.02°, 2.201 Å, I 65
- 34.55°, 2.596 Å, I 53
- 30.82°, 2.901 Å, I 38

Cell and atoms:
```
K2TlVSe4
1.0
-4.1025 4.1025 4.1534
4.1025 -4.1025 4.1534
4.1025 4.1025 -4.1534
K Tl V Se
2 1 1 4
Direct
0.0000 0.0000 0.0000
0.7500 0.2500 0.5000
0.2500 0.7500 0.5000
0.5000 0.5000 0.0000
0.1869 0.5161 0.0127
0.4839 0.4966 0.6708
0.5034 0.1742 0.9873
0.8258 0.8131 0.3292
```

# SiSnPd5
Simulated powder XRD pattern, λ = 1.5418 Å (Cu Kα). Input: DFT lattice parameters and positions (GGA-PBE).

Main lines, in order of falling intensity (5 to 70 degrees two-theta):
- 40.07°, 2.250 Å, I 100
- 41.45°, 2.178 Å, I 95
- 39.62°, 2.275 Å, I 51
- 42.99°, 2.104 Å, I 50
- 21.11°, 4.208 Å, I 28
- 23.74°, 3.749 Å, I 23

Cell and atoms:
```
SiSnPd5
1.0
4.5584 -3.1726 0.0000
4.5584 3.1726 0.0000
-4.0241 0.0000 8.4165
Si Sn Pd
2 2 10
Direct
0.0000 0.5000 0.0000
0.5000 0.0000 0.5000
0.0926 0.9074 0.7500
0.9074 0.0926 0.2500
0.1362 0.4210 0.7641
0.2576 0.4913 0.5121
0.3245 0.6755 0.2500
0.4210 0.1362 0.2641
0.4913 0.2576 0.0121
0.5087 0.7424 0.9879
0.5790 0.8638 0.7359
0.6755 0.3245 0.7500
0.7424 0.5087 0.4879
0.8638 0.5790 0.2359
```

# In7Ga3Hg
Simulated powder XRD pattern, λ = 1.5418 Å (Cu Kα). Input: DFT lattice parameters and positions (GGA-PBE).

Main lines, in order of falling intensity (5 to 70 degrees two-theta):
- 25.69°, 3.468 Å, I 100
- 34.57°, 2.594 Å, I 91
- 35.89°, 2.502 Å, I 85
- 40.59°, 2.223 Å, I 51
- 43.55°, 2.078 Å, I 47
- 39.80°, 2.265 Å, I 39

Cell and atoms:
```
In7Ga3Hg
1.0
4.5865 -5.1878 0.0000
4.5865 5.1878 0.0000
-3.5582 0.0000 6.4829
In Ga Hg
7 3 1
Direct
0.0000 0.0000 0.0000
0.1178 0.5886 0.2672
0.3620 0.3620 0.7563
0.4114 0.8822 0.7328
0.5886 0.1178 0.2672
0.6380 0.6380 0.2437
0.8822 0.4114 0.7328
0.2680 0.7320 0.0000
0.5000 0.5000 0.5000
0.7320 0.2680 0.0000
0.0000 0.0000 0.5000
```

# Cd2PbSI
Simulated powder XRD pattern, λ = 1.5418 Å (Cu Kα). Input: DFT lattice parameters and positions (GGA-PBE).

Main lines, in order of falling intensity (5 to 70 degrees two-theta):
- 28.69°, 3.112 Å, I 100
- 34.96°, 2.567 Å, I 38
- 46.41°, 1.957 Å, I 34
- 29.55°, 3.023 Å, I 30
- 58.91°, 1.568 Å, I 26
- 51.90°, 1.762 Å, I 19

Cell and atoms:
```
Cd2PbSI
1.0
5.1336 0.0000 0.0000
0.0000 5.1336 0.0000
0.0000 0.0000 6.0454
Cd Pb S I
2 1 1 1
Direct
0.0000 0.5000 0.0000
0.5000 0.0000 0.0000
0.0000 0.0000 0.5000
0.5000 0.5000 0.0000
0.5000 0.5000 0.5000
```

# Ba3Li2Ag7
Simulated powder XRD pattern, λ = 1.5418 Å (Cu Kα). Input: DFT lattice parameters and positions (GGA-PBE).

Main lines, in order of falling intensity (5 to 70 degrees two-theta):
- 35.15°, 2.553 Å, I 100
- 33.72°, 2.658 Å, I 84
- 28.33°, 3.151 Å, I 55
- 31.09°, 2.876 Å, I 54
- 34.21°, 2.621 Å, I 42
- 60.00°, 1.542 Å, I 36

Cell and atoms:
```
Ba3Li2Ag7
1.0
3.0836 1.7803 9.1039
-3.0836 1.7803 9.1039
0.0000 -3.5606 9.1039
Ba Li Ag
3 2 7
Direct
0.0000 0.0000 0.0000
0.1422 0.1422 0.1422
0.8578 0.8578 0.8578
0.3301 0.3301 0.3301
0.6699 0.6699 0.6699
0.0844 0.5747 0.5747
0.4253 0.4253 0.9156
0.4253 0.9156 0.4253
0.5000 0.5000 0.5000
0.5747 0.0844 0.5747
0.5747 0.5747 0.0844
0.9156 0.4253 0.4253
```

Which formula does entry 2 have? SiSnPd5